Record 1
For LaZrBeIr, a structure optimized by DFT (PBE) gives the theoretical PXRD pattern in this record (Cu Kα (λ = 1.5418 Å)).

Structure:
abc: 6.6490 6.6490 6.6490
angles: 90.00 90.00 90.00
Fractional positions:
La 0.0000 0.0000 0.0000
La 0.0000 0.5000 0.5000
La 0.5000 0.0000 0.5000
La 0.5000 0.5000 0.0000
Zr 0.2500 0.2500 0.2500
Zr 0.2500 0.7500 0.7500
Zr 0.7500 0.2500 0.7500
Zr 0.7500 0.7500 0.2500
Be 0.2500 0.2500 0.7500
Be 0.2500 0.7500 0.2500
Be 0.7500 0.2500 0.2500
Be 0.7500 0.7500 0.7500
Ir 0.0000 0.0000 0.5000
Ir 0.0000 0.5000 0.0000
Ir 0.5000 0.0000 0.0000
Ir 0.5000 0.5000 0.5000

Principal peaks in the range 15 to 90 degrees two-theta, sorted by position:
- 23.2°, intensity 14
- 26.8°, intensity 36
- 38.3°, intensity 100
- 47.4°, intensity 11
- 55.3°, intensity 17
- 62.5°, intensity 14
- 69.2°, intensity 35
- 82.0°, intensity 11

---

Record 2
For Na3Be2Ir3, a structure optimized by DFT (PBE) gives the theoretical PXRD pattern in this record (Cu Kα (λ = 1.5418 Å)).

Structure:
abc: 4.6369 4.1535 6.9861
angles: 90.00 96.36 90.00
Fractional positions:
Na 0.0000 0.0000 0.0000
Na 0.0345 0.5000 0.2799
Na 0.9655 0.5000 0.7201
Be 0.2828 0.0000 0.4740
Be 0.7172 0.0000 0.5260
Ir 0.4645 0.0000 0.7759
Ir 0.5000 0.5000 0.0000
Ir 0.5355 0.0000 0.2241

Principal peaks in the range 15 to 90 degrees two-theta, sorted by position:
- 19.3°, intensity 100
- 21.9°, intensity 28
- 33.6°, intensity 46
- 37.5°, intensity 53
- 39.1°, intensity 25
- 40.5°, intensity 52
- 43.6°, intensity 22
- 48.1°, intensity 19

---

Record 3
For BeNiIr2, a structure optimized by DFT (PBE) gives the theoretical PXRD pattern in this record (Cu Kα (λ = 1.5418 Å)).

Structure:
abc: 4.0548 4.0548 5.8181
angles: 90.00 90.00 90.00
Fractional positions:
Be 0.0000 0.0000 0.0000
Be 0.5000 0.5000 0.5000
Ni 0.0000 0.0000 0.5000
Ni 0.5000 0.5000 0.0000
Ir 0.0000 0.5000 0.2500
Ir 0.0000 0.5000 0.7500
Ir 0.5000 0.0000 0.2500
Ir 0.5000 0.0000 0.7500

Principal peaks in the range 15 to 90 degrees two-theta, sorted by position:
- 30.7°, intensity 31
- 31.2°, intensity 60
- 44.4°, intensity 100
- 44.7°, intensity 49
- 55.2°, intensity 25
- 65.1°, intensity 16
- 81.4°, intensity 17
- 82.1°, intensity 34

---

Record 4
For Be2IrPd3, a structure optimized by DFT (PBE) gives the theoretical PXRD pattern in this record (Cu Kα (λ = 1.5418 Å)).

Structure:
abc: 2.7586 2.7586 9.8639
angles: 90.00 90.00 90.00
Fractional positions:
Be 0.0000 0.0000 0.0000
Be 0.5000 0.5000 0.4984
Ir 0.0000 0.0000 0.3594
Pd 0.0000 0.0000 0.6464
Pd 0.5000 0.5000 0.1494
Pd 0.5000 0.5000 0.8604

Principal peaks in the range 15 to 90 degrees two-theta, sorted by position:
- 18.0°, intensity 17
- 33.7°, intensity 81
- 36.4°, intensity 34
- 42.8°, intensity 100
- 46.6°, intensity 47
- 60.5°, intensity 31
- 75.8°, intensity 20
- 83.7°, intensity 29

---

Record 5
For Sm4BeIr, a structure optimized by DFT (PBE) gives the theoretical PXRD pattern in this record (Cu Kα (λ = 1.5418 Å)).

Structure:
abc: 9.3131 9.7636 4.1134
angles: 90.00 90.00 90.00
Fractional positions:
Sm 0.0000 0.2110 0.0000
Sm 0.0000 0.7890 0.0000
Sm 0.2046 0.5000 0.5000
Sm 0.2954 0.0000 0.5000
Sm 0.5000 0.2890 0.0000
Sm 0.5000 0.7110 0.0000
Sm 0.7046 0.0000 0.5000
Sm 0.7954 0.5000 0.5000
Be 0.0000 0.0000 0.5000
Be 0.5000 0.5000 0.5000
Ir 0.0000 0.5000 0.0000
Ir 0.5000 0.0000 0.0000

Principal peaks in the range 15 to 90 degrees two-theta, sorted by position:
- 26.5°, intensity 24
- 28.4°, intensity 29
- 29.0°, intensity 100
- 29.1°, intensity 40
- 36.8°, intensity 21
- 37.4°, intensity 23
- 46.0°, intensity 41
- 47.5°, intensity 35

---

Record 6
For KTmBeSe3, a structure optimized by DFT (PBE) gives the theoretical PXRD pattern in this record (Cu Kα (λ = 1.5418 Å)).

Structure:
abc: 7.7001 7.7001 10.7445
angles: 90.00 90.00 150.07
Fractional positions:
K 0.2442 0.7558 0.7500
K 0.7558 0.2442 0.2500
Tm 0.5000 0.5000 0.0000
Tm 0.5000 0.5000 0.5000
Be 0.0369 0.9631 0.2500
Be 0.9631 0.0369 0.7500
Se 0.1209 0.8791 0.0776
Se 0.1209 0.8791 0.4224
Se 0.4424 0.5576 0.2500
Se 0.5576 0.4424 0.7500
Se 0.8791 0.1209 0.5776
Se 0.8791 0.1209 0.9224

Principal peaks in the range 15 to 90 degrees two-theta, sorted by position:
- 20.4°, intensity 53
- 27.6°, intensity 53
- 28.8°, intensity 100
- 30.0°, intensity 57
- 33.4°, intensity 71
- 37.8°, intensity 36
- 41.0°, intensity 62
- 41.5°, intensity 86